CrTe4Pd2: theoretical X-ray powder pattern (Cu Kα (λ = 1.5418 Å)), based on a DFT-relaxed cell (GGA-PBE, Alexandria).
Intensities are scaled so that the largest is 100.

Peak list (10 most intense, 2θ from 10° to 90°, low angle first)
| Position (°2θ) | I_rel |
| --- | --- |
| 29.56 | 100 |
| 29.94 | 16 |
| 30.07 | 50 |
| 40.22 | 17 |
| 40.55 | 23 |
| 41.13 | 38 |
| 44.16 | 52 |
| 44.28 | 27 |
| 54.47 | 26 |
| 72.78 | 13 |

Atomic structure:
```
CrTe4Pd2
1.0
6.5937 -2.0454 0.0000
6.5937 2.0454 0.0000
-3.6667 0.0000 6.0945
Cr Te Pd
1 4 2
Cartesian
0.0000 0.0000 0.0000 Cr
-0.1552 0.0000 2.7304 Te
4.7955 0.0000 0.2319 Te
4.7252 0.0000 5.8626 Te
9.6759 0.0000 3.3640 Te
2.3939 0.0000 1.7204 Pd
7.1268 0.0000 4.3741 Pd
```

---

TiCr3Pd12: theoretical X-ray powder pattern (Cu Kα (λ = 1.5418 Å)), based on a DFT-relaxed cell (GGA-PBE, Alexandria).
Intensities are scaled so that the largest is 100.

Peak list (10 most intense, 2θ from 10° to 90°, low angle first)
| Position (°2θ) | I_rel |
| --- | --- |
| 22.73 | 7 |
| 32.36 | 6 |
| 39.91 | 100 |
| 46.36 | 32 |
| 46.53 | 16 |
| 67.66 | 10 |
| 67.79 | 20 |
| 81.54 | 23 |
| 81.78 | 12 |
| 86.10 | 10 |

Atomic structure:
```
TiCr3Pd12
1.0
3.9167 0.0000 0.0000
0.0000 3.9167 0.0000
0.0000 0.0000 15.6133
Ti Cr Pd
1 3 12
Cartesian
0.0000 0.0000 0.0000 Ti
0.0000 0.0000 3.9593 Cr
0.0000 0.0000 7.8067 Cr
0.0000 0.0000 11.6540 Cr
0.0000 1.9583 1.9367 Pd
0.0000 1.9583 5.8633 Pd
0.0000 1.9583 9.7500 Pd
0.0000 1.9583 13.6766 Pd
1.9583 0.0000 1.9367 Pd
1.9583 0.0000 5.8633 Pd
1.9583 0.0000 9.7500 Pd
1.9583 0.0000 13.6766 Pd
1.9583 1.9583 0.0000 Pd
1.9583 1.9583 3.9002 Pd
1.9583 1.9583 7.8067 Pd
1.9583 1.9583 11.7131 Pd
```

---

VCrPd: theoretical X-ray powder pattern (Cu Kα (λ = 1.5418 Å)), based on a DFT-relaxed cell (GGA-PBE, Alexandria).
Intensities are scaled so that the largest is 100.

Peak list (10 most intense, 2θ from 10° to 90°, low angle first)
| Position (°2θ) | I_rel |
| --- | --- |
| 32.91 | 7 |
| 36.41 | 26 |
| 41.66 | 100 |
| 44.67 | 8 |
| 45.41 | 45 |
| 54.26 | 6 |
| 65.59 | 9 |
| 66.16 | 14 |
| 73.39 | 13 |
| 81.30 | 25 |

Atomic structure:
```
VCrPd
1.0
2.8248 0.0000 0.0000
0.0000 2.8248 0.0000
0.0000 0.0000 10.1434
V Cr Pd
2 2 2
Cartesian
0.7062 0.7062 2.2683 V
2.1186 2.1186 7.8751 V
0.7062 0.7062 9.4721 Cr
2.1186 2.1186 0.6713 Cr
0.7062 0.7062 6.1254 Pd
2.1186 2.1186 4.0179 Pd
```

---

Question: Number 3 is which compound?
Answer: VCrPd

---

What did the first record say?
CrTe4Pd2: theoretical X-ray powder pattern (Cu Kα (λ = 1.5418 Å)), based on a DFT-relaxed cell (GGA-PBE, Alexandria).
Intensities are scaled so that the largest is 100.

Peak list (10 most intense, 2θ from 10° to 90°, low angle first)
| Position (°2θ) | I_rel |
| --- | --- |
| 29.56 | 100 |
| 29.94 | 16 |
| 30.07 | 50 |
| 40.22 | 17 |
| 40.55 | 23 |
| 41.13 | 38 |
| 44.16 | 52 |
| 44.28 | 27 |
| 54.47 | 26 |
| 72.78 | 13 |

Atomic structure:
```
CrTe4Pd2
1.0
6.5937 -2.0454 0.0000
6.5937 2.0454 0.0000
-3.6667 0.0000 6.0945
Cr Te Pd
1 4 2
Cartesian
0.0000 0.0000 0.0000 Cr
-0.1552 0.0000 2.7304 Te
4.7955 0.0000 0.2319 Te
4.7252 0.0000 5.8626 Te
9.6759 0.0000 3.3640 Te
2.3939 0.0000 1.7204 Pd
7.1268 0.0000 4.3741 Pd
```